# CaCeAlHg
Calculated X-ray powder pattern, Cu Ka. Input: a structure optimized by DFT (GGA-PBE).

Main lines, by intensity (5 to 70 degrees two-theta):
| two_theta | I (rel.) |
| --- | --- |
| 33.63 | 100.0 |
| 20.41 | 52.2 |
| 60.14 | 37.3 |
| 39.66 | 30.4 |
| 48.30 | 18.0 |
| 52.95 | 13.5 |
| 64.21 | 10.2 |
| 23.61 | 1.3 |
| 54.44 | 0.8 |
| 41.50 | 0.5 |

Crystal structure
Lattice parameters (Å, degrees): 7.538 7.538 7.538 90.00 90.00 90.00
Fractional positions:
Ca (0.000, 0.000, 0.000)
Ca (0.000, 0.500, 0.500)
Ca (0.500, 0.000, 0.500)
Ca (0.500, 0.500, 0.000)
Ce (0.000, 0.000, 0.500)
Ce (0.000, 0.500, 0.000)
Ce (0.500, 0.000, 0.000)
Ce (0.500, 0.500, 0.500)
Al (0.250, 0.250, 0.250)
Al (0.250, 0.750, 0.750)
Al (0.750, 0.250, 0.750)
Al (0.750, 0.750, 0.250)
Hg (0.250, 0.250, 0.750)
Hg (0.250, 0.750, 0.250)
Hg (0.750, 0.250, 0.250)
Hg (0.750, 0.750, 0.750)